(1)
Starting from a PBE-relaxed structure, the powder diffraction line list of TePb was simulated for Cu Kα, 1.54184 Å.
Peak positions follow from Bragg's law for the DFT cell and can differ from measured ones.

Largest 10 diffraction maxima, by angle, 15 to 90 degrees two-theta:
| h k l | two_theta | I (rel.) |
| --- | --- | --- |
| 0 1 1 | 22.46 | 33 |
| 1 1 1 | 25.12 | 30 |
| 2 1 1 | 31.86 | 100 |
| 0 2 0 | 39.43 | 43 |
| 4 0 0 | 45.51 | 10 |
| 0 2 2 | 45.82 | 9 |
| 2 2 2 | 51.56 | 26 |
| 4 2 0 | 61.76 | 23 |
| 2 3 1 | 66.79 | 25 |
| 4 3 3 | 88.98 | 9 |

Crystal structure
```
data_TePb
_symmetry_space_group_name_H-M 'P n m a'
_symmetry_Int_Tables_number 62
_symmetry_space_group_name_Hall '-P 2ac 2n'
_cell_length_a 7.9717
_cell_length_b 4.5706
_cell_length_c 7.9150
_cell_angle_alpha 90.00
_cell_angle_beta 90.00
_cell_angle_gamma 90.00
loop_
_atom_site_label
_atom_site_type_symbol
_atom_site_fract_x
_atom_site_fract_y
_atom_site_fract_z
Te1 Te 0.2489 0.2500 0.0834
Pb1 Pb 0.0015 0.2500 0.7487
```

***

(2)
Starting from a PBE-relaxed structure, the powder diffraction line list of TePb was simulated for Cu Kα, 1.54184 Å.
Peak positions follow from Bragg's law for the DFT cell and can differ from measured ones.

Largest 10 diffraction maxima, by angle, 15 to 90 degrees two-theta:
| h k l | two_theta | I (rel.) |
| --- | --- | --- |
| 1 0 0 | 22.21 | 7 |
| 1 1 0 | 31.61 | 100 |
| 1 1 1 | 38.98 | 2 |
| 2 0 0 | 45.32 | 19 |
| 2 1 0 | 51.03 | 3 |
| 2 1 1 | 56.31 | 40 |
| 2 2 0 | 66.02 | 12 |
| 3 0 0 | 70.60 | 2 |
| 3 1 0 | 75.05 | 17 |
| 2 2 2 | 83.71 | 4 |

Crystal structure
```
data_TePb
_symmetry_space_group_name_H-M 'P m -3 m'
_symmetry_Int_Tables_number 221
_symmetry_space_group_name_Hall '-P 4 2 3'
_cell_length_a 4.0023
_cell_length_b 4.0023
_cell_length_c 4.0023
_cell_angle_alpha 90.00
_cell_angle_beta 90.00
_cell_angle_gamma 90.00
loop_
_atom_site_label
_atom_site_type_symbol
_atom_site_fract_x
_atom_site_fract_y
_atom_site_fract_z
Te1 Te 0.0000 0.0000 0.0000
Pb1 Pb 0.5000 0.5000 0.5000
```

***

(3)
Starting from a PBE-relaxed structure, the powder diffraction line list of Tl4Te3Pb was simulated for Cu Kα, 1.54184 Å.
Peak positions follow from Bragg's law for the DFT cell and can differ from measured ones.

Largest 10 diffraction maxima, by angle, 15 to 90 degrees two-theta:
| h k l | two_theta | I (rel.) |
| --- | --- | --- |
| 2 1 3 | 29.80 | 100 |
| 1 1 4 | 29.99 | 17 |
| 3 1 0 | 31.45 | 57 |
| 0 0 6 | 40.10 | 15 |
| 4 2 0 | 45.07 | 10 |
| 4 1 3 | 46.25 | 12 |
| 3 1 6 | 51.83 | 16 |
| 4 4 0 | 58.00 | 12 |
| 5 2 3 | 58.98 | 21 |
| 2 1 9 | 66.57 | 12 |

Crystal structure
```
data_Tl4Te3Pb
_symmetry_space_group_name_H-M 'I 4/m c m'
_symmetry_Int_Tables_number 140
_symmetry_space_group_name_Hall '-I 4 2c'
_cell_length_a 8.9964
_cell_length_b 8.9964
_cell_length_c 13.4913
_cell_angle_alpha 90.00
_cell_angle_beta 90.00
_cell_angle_gamma 90.00
loop_
_atom_site_label
_atom_site_type_symbol
_atom_site_fract_x
_atom_site_fract_y
_atom_site_fract_z
Tl1 Tl 0.1468 0.3532 0.1576
Te1 Te 0.0000 0.0000 0.2500
Te2 Te 0.1643 0.3357 0.5000
Pb1 Pb 0.0000 0.0000 0.0000
```

***

(4)
Starting from a PBE-relaxed structure, the powder diffraction line list of Zr5TePb3 was simulated for Cu Kα, 1.54184 Å.
Peak positions follow from Bragg's law for the DFT cell and can differ from measured ones.

Largest 10 diffraction maxima, by angle, 15 to 90 degrees two-theta:
| h k l | two_theta | I (rel.) |
| --- | --- | --- |
| 1 1 1 | 24.61 | 30 |
| 0 0 2 | 28.99 | 19 |
| 2 1 1 | 33.93 | 62 |
| 3 0 0 | 34.78 | 90 |
| 1 1 2 | 35.40 | 100 |
| 3 1 1 | 44.71 | 35 |
| 2 2 2 | 50.46 | 22 |
| 4 1 2 | 62.74 | 19 |
| 4 2 1 | 65.61 | 21 |
| 3 0 4 | 71.34 | 28 |

Crystal structure
```
data_Zr5TePb3
_symmetry_space_group_name_H-M 'P 63/m c m'
_symmetry_Int_Tables_number 193
_symmetry_space_group_name_Hall '-P 6c 2'
_cell_length_a 8.9365
_cell_length_b 8.9365
_cell_length_c 6.1599
_cell_angle_alpha 90.00
_cell_angle_beta 90.00
_cell_angle_gamma 120.00
loop_
_atom_site_label
_atom_site_type_symbol
_atom_site_fract_x
_atom_site_fract_y
_atom_site_fract_z
Zr1 Zr 0.0000 0.2799 0.2500
Zr2 Zr 0.3333 0.6667 0.0000
Te1 Te 0.0000 0.0000 0.0000
Pb1 Pb 0.0000 0.3859 0.7500
```

***

(5)
Starting from a PBE-relaxed structure, the powder diffraction line list of Th5Pb3 was simulated for Cu Kα, 1.54184 Å.
Peak positions follow from Bragg's law for the DFT cell and can differ from measured ones.

Largest 10 diffraction maxima, by angle, 15 to 90 degrees two-theta:
| h k l | two_theta | I (rel.) |
| --- | --- | --- |
| 0 0 2 | 27.11 | 19 |
| 2 1 0 | 28.59 | 29 |
| 2 1 1 | 31.73 | 100 |
| 3 0 0 | 32.52 | 61 |
| 1 1 2 | 33.08 | 87 |
| 2 2 2 | 47.07 | 23 |
| 3 2 1 | 50.10 | 15 |
| 2 1 3 | 50.89 | 27 |
| 5 0 2 | 62.97 | 16 |
| 3 0 4 | 66.20 | 18 |

Crystal structure
```
data_Th5Pb3
_symmetry_space_group_name_H-M 'P 63/m c m'
_symmetry_Int_Tables_number 193
_symmetry_space_group_name_Hall '-P 6c 2'
_cell_length_a 9.5370
_cell_length_b 9.5370
_cell_length_c 6.5787
_cell_angle_alpha 90.00
_cell_angle_beta 90.00
_cell_angle_gamma 120.00
loop_
_atom_site_label
_atom_site_type_symbol
_atom_site_fract_x
_atom_site_fract_y
_atom_site_fract_z
Th1 Th 0.0000 0.2524 0.2500
Th2 Th 0.3333 0.6667 0.0000
Pb1 Pb 0.0000 0.3878 0.7500
```

***

(6)
Starting from a PBE-relaxed structure, the powder diffraction line list of ThPb was simulated for Cu Kα, 1.54184 Å.
Peak positions follow from Bragg's law for the DFT cell and can differ from measured ones.

Largest 10 diffraction maxima, by angle, 15 to 90 degrees two-theta:
| h k l | two_theta | I (rel.) |
| --- | --- | --- |
| 1 1 2 | 31.28 | 100 |
| 0 0 4 | 32.08 | 23 |
| 2 0 0 | 38.21 | 30 |
| 2 0 4 | 50.73 | 27 |
| 2 2 0 | 55.15 | 10 |
| 1 1 6 | 56.68 | 19 |
| 3 1 2 | 64.78 | 26 |
| 2 2 4 | 65.25 | 13 |
| 2 0 8 | 79.93 | 7 |
| 3 1 6 | 83.07 | 14 |

Crystal structure
```
data_ThPb
_symmetry_space_group_name_H-M 'I 41/a m d'
_symmetry_Int_Tables_number 141
_cell_length_a 4.7103
_cell_length_b 4.7103
_cell_length_c 11.1595
_cell_angle_alpha 90.00
_cell_angle_beta 90.00
_cell_angle_gamma 90.00
loop_
_symmetry_equiv_pos_as_xyz
'x,y,z'
'-x,-y,-z'
'-y+1/4,x+3/4,z+1/4'
'y+1/4,-x+3/4,-z+1/4'
'-x+1/2,-y,z+1/2'
'x+1/2,y,-z+1/2'
'y+1/4,-x+1/4,z+3/4'
'-y+1/4,x+1/4,-z+3/4'
'x,-y,-z'
'-x,y,z'
'-y+1/4,-x+1/4,-z+3/4'
'y+1/4,x+1/4,z+3/4'
'-x+1/2,y,-z+1/2'
'x+1/2,-y,z+1/2'
'y+1/4,x+3/4,-z+1/4'
'-y+1/4,-x+3/4,z+1/4'
'x+1/2,y+1/2,z+1/2'
'-x+1/2,-y+1/2,-z+1/2'
'-y+3/4,x+1/4,z+3/4'
'y+3/4,-x+1/4,-z+3/4'
'-x,-y+1/2,z'
'x,y+1/2,-z'
'y+3/4,-x+3/4,z+1/4'
'-y+3/4,x+3/4,-z+1/4'
'x+1/2,-y+1/2,-z+1/2'
'-x+1/2,y+1/2,z+1/2'
'-y+3/4,-x+3/4,-z+1/4'
'y+3/4,x+3/4,z+1/4'
'-x,y+1/2,-z'
'x,-y+1/2,z'
'y+3/4,x+1/4,-z+3/4'
'-y+3/4,-x+1/4,z+3/4'
loop_
_atom_site_label
_atom_site_type_symbol
_atom_site_fract_x
_atom_site_fract_y
_atom_site_fract_z
Th1 Th 0.0000 0.2500 0.3750
Pb1 Pb 0.0000 0.2500 0.8750
```

***

(7)
Starting from a PBE-relaxed structure, the powder diffraction line list of ThPb was simulated for Cu Kα, 1.54184 Å.
Peak positions follow from Bragg's law for the DFT cell and can differ from measured ones.

Largest 10 diffraction maxima, by angle, 15 to 90 degrees two-theta:
| h k l | two_theta | I (rel.) |
| --- | --- | --- |
| 1 0 1 | 31.39 | 100 |
| 1 1 0 | 34.83 | 38 |
| 0 0 2 | 39.39 | 14 |
| 2 0 0 | 50.09 | 14 |
| 1 1 2 | 53.58 | 23 |
| 2 1 1 | 60.32 | 32 |
| 2 0 2 | 65.51 | 13 |
| 1 0 3 | 66.46 | 12 |
| 3 0 1 | 82.14 | 7 |
| 2 1 3 | 87.65 | 12 |

Crystal structure
```
data_ThPb
_symmetry_space_group_name_H-M 'P 4/m m m'
_symmetry_Int_Tables_number 123
_symmetry_space_group_name_Hall '-P 4 2'
_cell_length_a 3.6423
_cell_length_b 3.6423
_cell_length_c 4.5751
_cell_angle_alpha 90.00
_cell_angle_beta 90.00
_cell_angle_gamma 90.00
loop_
_atom_site_label
_atom_site_type_symbol
_atom_site_fract_x
_atom_site_fract_y
_atom_site_fract_z
Th1 Th 0.0000 0.0000 0.0000
Pb1 Pb 0.5000 0.5000 0.5000
```

***

(8)
Starting from a PBE-relaxed structure, the powder diffraction line list of Ti24Pb19 was simulated for Cu Kα, 1.54184 Å.
Peak positions follow from Bragg's law for the DFT cell and can differ from measured ones.

Largest 10 diffraction maxima, by angle, 15 to 90 degrees two-theta:
| h k l | two_theta | I (rel.) |
| --- | --- | --- |
| 1 2 2 | 26.64 | 100 |
| 0 2 4 | 28.87 | 40 |
| 2 0 0 | 30.76 | 22 |
| 1 1 5 | 32.80 | 21 |
| 1 0 6 | 36.39 | 26 |
| 2 2 -2 | 37.97 | 92 |
| 0 4 0 | 38.09 | 78 |
| 2 4 -2 | 51.07 | 20 |
| 0 6 0 | 58.54 | 23 |
| 2 2 10 | 68.76 | 23 |

Crystal structure
```
data_Ti24Pb19
_symmetry_space_group_name_H-M 'P 1 2/m 1'
_symmetry_Int_Tables_number 10
_symmetry_space_group_name_Hall '-P 2y'
_cell_length_a 5.8142
_cell_length_b 9.4549
_cell_length_c 16.3561
_cell_angle_alpha 90.00
_cell_angle_beta 90.05
_cell_angle_gamma 90.00
loop_
_atom_site_label
_atom_site_type_symbol
_atom_site_fract_x
_atom_site_fract_y
_atom_site_fract_z
Ti1 Ti 0.0000 0.0000 0.0000
Ti2 Ti 0.9997 0.2494 0.2506
Ti3 Ti 0.0000 0.5000 0.5000
Ti4 Ti 0.2495 0.2630 0.0789
Ti5 Ti 0.2507 0.5000 0.8425
Ti6 Ti 0.2521 0.2359 0.5788
Ti7 Ti 0.2530 0.0000 0.3424
Ti8 Ti 0.5000 0.0000 0.0000
Ti9 Ti 0.4997 0.2498 0.2502
Ti10 Ti 0.5000 0.5000 0.5000
Pb1 Pb 0.0000 0.5000 0.0000
Pb2 Pb 0.2491 0.0000 0.6992
Pb3 Pb 0.2490 0.2982 0.4005
Pb4 Pb 0.2491 0.5000 0.6664
Pb5 Pb 0.2501 0.0000 0.1669
Pb6 Pb 0.2500 0.1969 0.8990
Pb7 Pb 0.2498 0.5000 0.2021
Pb8 Pb 0.5000 0.0000 0.5000
Pb9 Pb 0.5000 0.5000 0.0000
```

***

(9)
Starting from a PBE-relaxed structure, the powder diffraction line list of Ti3Pb was simulated for Cu Kα, 1.54184 Å.
Peak positions follow from Bragg's law for the DFT cell and can differ from measured ones.

Largest 10 diffraction maxima, by angle, 15 to 90 degrees two-theta:
| h k l | two_theta | I (rel.) |
| --- | --- | --- |
| 1 0 0 | 17.09 | 21 |
| 1 0 1 | 25.26 | 68 |
| 1 1 0 | 29.82 | 29 |
| 2 0 0 | 34.57 | 24 |
| 0 0 2 | 37.43 | 26 |
| 2 0 1 | 39.47 | 100 |
| 2 1 1 | 50.24 | 20 |
| 2 2 0 | 61.95 | 17 |
| 2 0 3 | 68.89 | 19 |
| 2 2 2 | 74.67 | 19 |

Crystal structure
```
data_Ti3Pb
_symmetry_space_group_name_H-M 'P 63/m m c'
_symmetry_Int_Tables_number 194
_symmetry_space_group_name_Hall '-P 6c 2c'
_cell_length_a 5.9919
_cell_length_b 5.9919
_cell_length_c 4.8054
_cell_angle_alpha 90.00
_cell_angle_beta 90.00
_cell_angle_gamma 120.00
loop_
_atom_site_label
_atom_site_type_symbol
_atom_site_fract_x
_atom_site_fract_y
_atom_site_fract_z
Ti1 Ti 0.1605 0.3209 0.2500
Pb1 Pb 0.3333 0.6667 0.7500
```

***

(10)
Starting from a PBE-relaxed structure, the powder diffraction line list of Zr5Ti5Pb6 was simulated for Cu Kα, 1.54184 Å.
Peak positions follow from Bragg's law for the DFT cell and can differ from measured ones.

Largest 10 diffraction maxima, by angle, 15 to 90 degrees two-theta:
| h k l | two_theta | I (rel.) |
| --- | --- | --- |
| 0 3 1 | 20.81 | 56 |
| 1 3 1 | 25.95 | 88 |
| 2 0 0 | 30.94 | 100 |
| 1 1 3 | 35.39 | 96 |
| 1 4 2 | 35.62 | 91 |
| 1 5 1 | 35.76 | 90 |
| 0 3 3 | 36.20 | 53 |
| 2 3 1 | 37.59 | 79 |
| 3 5 1 | 58.16 | 44 |
| 2 5 5 | 71.24 | 41 |

Crystal structure
```
data_Zr5Ti5Pb6
_symmetry_space_group_name_H-M 'A m m 2'
_symmetry_Int_Tables_number 38
_symmetry_space_group_name_Hall 'A 2 -2'
_cell_length_a 5.7804
_cell_length_b 14.7308
_cell_length_c 8.6278
_cell_angle_alpha 90.00
_cell_angle_beta 90.00
_cell_angle_gamma 90.00
loop_
_atom_site_label
_atom_site_type_symbol
_atom_site_fract_x
_atom_site_fract_y
_atom_site_fract_z
Zr1 Zr 0.0000 0.0000 0.0000
Zr2 Zr 0.0000 0.1173 0.6409
Zr3 Zr 0.5000 0.1184 0.8774
Ti1 Ti 0.2497 0.1679 0.2560
Ti2 Ti 0.5000 0.0000 0.5076
Pb1 Pb 0.0000 0.0000 0.3598
Pb2 Pb 0.0000 0.2008 0.9578
Pb3 Pb 0.5000 0.0000 0.1624
Pb4 Pb 0.5000 0.1945 0.5559
```

***

(11)
Starting from a PBE-relaxed structure, the powder diffraction line list of Tm5Pb4 was simulated for Cu Kα, 1.54184 Å.
Peak positions follow from Bragg's law for the DFT cell and can differ from measured ones.

Largest 10 diffraction maxima, by angle, 15 to 90 degrees two-theta:
| h k l | two_theta | I (rel.) |
| --- | --- | --- |
| 2 2 1 | 27.06 | 17 |
| 1 3 2 | 29.96 | 100 |
| 2 0 2 | 31.04 | 27 |
| 0 4 2 | 31.81 | 36 |
| 1 5 1 | 32.73 | 23 |
| 2 4 1 | 33.73 | 56 |
| 0 6 0 | 34.62 | 19 |
| 3 0 1 | 34.90 | 24 |
| 1 1 3 | 35.22 | 41 |
| 3 1 1 | 35.38 | 24 |

Crystal structure
```
data_Tm5Pb4
_symmetry_space_group_name_H-M 'P n m a'
_symmetry_Int_Tables_number 62
_symmetry_space_group_name_Hall '-P 2ac 2n'
_cell_length_a 8.1261
_cell_length_b 15.5455
_cell_length_c 8.1730
_cell_angle_alpha 90.00
_cell_angle_beta 90.00
_cell_angle_gamma 90.00
loop_
_atom_site_label
_atom_site_type_symbol
_atom_site_fract_x
_atom_site_fract_y
_atom_site_fract_z
Tm1 Tm 0.0368 0.0997 0.1770
Tm2 Tm 0.1229 0.6207 0.3409
Tm3 Tm 0.2084 0.2500 0.5043
Pb1 Pb 0.0708 0.2500 0.8727
Pb2 Pb 0.1520 0.7500 0.6533
Pb3 Pb 0.2195 0.0420 0.5317
```

***

(12)
Starting from a PBE-relaxed structure, the powder diffraction line list of Tm3Pb was simulated for Cu Kα, 1.54184 Å.
Peak positions follow from Bragg's law for the DFT cell and can differ from measured ones.

Largest 9 diffraction maxima, by angle, 15 to 90 degrees two-theta:
| h k l | two_theta | I (rel.) |
| --- | --- | --- |
| 1 0 0 | 18.46 | 1 |
| 1 1 0 | 26.22 | 1 |
| 1 1 1 | 32.26 | 100 |
| 2 0 0 | 37.42 | 51 |
| 2 2 0 | 53.95 | 36 |
| 3 1 1 | 64.27 | 42 |
| 2 2 2 | 67.50 | 12 |
| 4 0 0 | 79.81 | 6 |
| 3 3 1 | 88.71 | 19 |

Crystal structure
```
data_Tm3Pb
_symmetry_space_group_name_H-M 'P m -3 m'
_symmetry_Int_Tables_number 221
_symmetry_space_group_name_Hall '-P 4 2 3'
_cell_length_a 4.8067
_cell_length_b 4.8067
_cell_length_c 4.8067
_cell_angle_alpha 90.00
_cell_angle_beta 90.00
_cell_angle_gamma 90.00
loop_
_atom_site_label
_atom_site_type_symbol
_atom_site_fract_x
_atom_site_fract_y
_atom_site_fract_z
Tm1 Tm 0.0000 0.0000 0.5000
Pb1 Pb 0.5000 0.5000 0.5000
```